Diffraction record for Mg8SiPt2. The PXRD pattern is theoretical, not measured: it uses a DFT-relaxed cell (GGA-PBE, Alexandria) and Cu Kα X-rays.

```
Mg8SiPt2
1.0
-2.255 3.350 6.847
2.255 -3.350 6.847
2.255 3.350 -6.847
Mg Si Pt
8 1 2
direct
0.116 0.343 0.773
0.168 0.168 0.000
0.290 0.000 0.290
0.430 0.657 0.773
0.570 0.343 0.227
0.710 0.000 0.710
0.832 0.832 0.000
0.884 0.657 0.227
0.000 0.500 0.500
0.320 0.820 0.500
0.680 0.180 0.500
```

Largest 10 diffraction maxima, in order of falling intensity, 10 to 80 degrees two-theta:
2θ (°)	intensity
38.87	100
23.78	65
23.58	63
12.93	52
27.81	30
39.99	25
14.72	24
47.35	23
39.48	22
46.95	21